No. 1
# CeSbPt
Computed powder XRD pattern, CuKα. Input: DFT lattice parameters and positions (GGA-PBE).

Largest 10 diffraction maxima, in order of rising 2θ, 2θ from 15° to 90°:
2theta, intensity
30.2, 8
35.3, 100
36.5, 75
47.1, 14
51.7, 28
63.3, 18
64.1, 29
74.0, 21
74.6, 11
86.1, 13

Cell and atoms:
```
data_CeSbPt
_chemical_formula_sum 'Ce2 Sb2 Pt2'
_cell_length_a 5.0875
_cell_length_b 5.0875
_cell_length_c 5.9282
_cell_angle_alpha 90.00
_cell_angle_beta 90.00
_cell_angle_gamma 120.00
_space_group_name_H-M_alt 'P -3 m 1'
_space_group_IT_number 164
_space_group_name_Hall '-P 3 2"'
loop_
_atom_site_label
_atom_site_fract_x
_atom_site_fract_y
_atom_site_fract_z
Ce1 0.0000 0.0000 0.2290
Sb1 0.3333 0.6667 0.5035
Pt1 0.3333 0.6667 0.9998
```



No. 2
# LuHO2
Computed powder XRD pattern, CuKα. Input: DFT lattice parameters and positions (GGA-PBE).

Largest 10 diffraction maxima, in order of rising 2θ, 2θ from 15° to 90°:
2theta, intensity
25.0, 100
31.1, 44
32.4, 58
33.3, 24
37.9, 12
47.1, 37
49.8, 39
51.4, 15
58.1, 12
60.3, 17

Cell and atoms:
```
data_LuHO2
_chemical_formula_sum 'Lu4 H4 O8'
_cell_length_a 5.833
_cell_length_b 5.383
_cell_length_c 5.840
_cell_angle_alpha 90.00
_cell_angle_beta 108.69
_cell_angle_gamma 90.00
_space_group_name_H-M_alt 'P 1 21/c 1'
_space_group_IT_number 14
_space_group_name_Hall '-P 2ybc'
loop_
_atom_site_label
_atom_site_fract_x
_atom_site_fract_y
_atom_site_fract_z
Lu1 0.234 0.015 0.246
H1 0.278 0.528 0.232
O1 0.133 0.138 0.873
O2 0.366 0.635 0.141
```



No. 3
# Sr2PrTlCu2O7
Computed powder XRD pattern, CuKα. Input: DFT lattice parameters and positions (GGA-PBE).

Largest 10 diffraction maxima, in order of rising 2θ, 2θ from 15° to 90°:
2theta, intensity
24.1, 27
31.8, 100
32.8, 61
44.3, 16
47.0, 32
55.9, 17
57.8, 37
66.4, 10
68.6, 10
78.2, 10

Cell and atoms:
```
data_Sr2PrTlCu2O7
_chemical_formula_sum 'Sr2 Pr1 Tl1 Cu2 O7'
_cell_length_a 3.867
_cell_length_b 3.867
_cell_length_c 12.339
_cell_angle_alpha 90.00
_cell_angle_beta 90.00
_cell_angle_gamma 90.00
_space_group_name_H-M_alt 'P 4/m m m'
_space_group_IT_number 123
_space_group_name_Hall '-P 4 2'
loop_
_atom_site_label
_atom_site_fract_x
_atom_site_fract_y
_atom_site_fract_z
Sr1 0.000 0.000 0.203
Pr1 0.000 0.000 0.500
Tl1 0.500 0.500 0.000
Cu1 0.500 0.500 0.355
O1 0.000 0.000 0.000
O2 0.000 0.500 0.372
O3 0.500 0.500 0.172
```



No. 4
# Li4ZnH12N6
Computed powder XRD pattern, CuKα. Input: DFT lattice parameters and positions (GGA-PBE).

Largest 10 diffraction maxima, in order of rising 2θ, 2θ from 15° to 90°:
2theta, intensity
16.8, 72
17.8, 42
19.7, 87
20.2, 24
23.9, 46
29.3, 100
34.0, 25
42.0, 24
48.9, 25
49.0, 24

Cell and atoms:
```
data_Li4ZnH12N6
_chemical_formula_sum 'Li16 Zn4 H48 N24'
_cell_length_a 5.235
_cell_length_b 15.926
_cell_length_c 10.552
_cell_angle_alpha 90.00
_cell_angle_beta 90.00
_cell_angle_gamma 90.00
_space_group_name_H-M_alt 'C 2 2 21'
_space_group_IT_number 20
_space_group_name_Hall 'C 2c 2'
loop_
_atom_site_label
_atom_site_fract_x
_atom_site_fract_y
_atom_site_fract_z
Li1 0.000 0.003 0.250
Li2 0.000 0.159 0.250
Li3 0.000 0.343 0.750
Li4 0.003 0.000 0.500
Zn1 0.000 0.170 0.750
H1 0.098 0.280 0.147
H2 0.115 0.455 0.874
H3 0.136 0.421 0.337
H4 0.168 0.263 0.571
H5 0.200 0.118 0.951
H6 0.224 0.120 0.439
N1 0.179 0.086 0.868
N2 0.224 0.081 0.361
N3 0.238 0.255 0.661
```



No. 5
# Li4Cu3SnP4O16
Computed powder XRD pattern, CuKα. Input: DFT lattice parameters and positions (GGA-PBE).

Largest 10 diffraction maxima, in order of rising 2θ, 2θ from 15° to 90°:
2theta, intensity
16.6, 74
20.0, 37
20.5, 45
24.9, 84
25.3, 100
29.8, 92
34.3, 91
35.2, 65
36.9, 44
51.1, 34

Cell and atoms:
```
data_Li4Cu3SnP4O16
_chemical_formula_sum 'Li4 Cu3 Sn1 P4 O16'
_cell_length_a 4.823
_cell_length_b 6.003
_cell_length_c 10.662
_cell_angle_alpha 90.00
_cell_angle_beta 91.93
_cell_angle_gamma 90.00
_space_group_name_H-M_alt 'P 1 m 1'
_space_group_IT_number 6
_space_group_name_Hall 'P -2y'
loop_
_atom_site_label
_atom_site_fract_x
_atom_site_fract_y
_atom_site_fract_z
Li1 0.000 0.233 0.000
Li2 0.525 0.237 0.458
Cu1 0.026 0.000 0.257
Cu2 0.506 0.500 0.202
Cu3 0.547 0.000 0.781
Sn1 0.037 0.500 0.691
P1 0.105 0.000 0.568
P2 0.431 0.000 0.073
P3 0.621 0.500 0.873
P4 0.940 0.500 0.385
O1 0.235 0.208 0.644
O2 0.245 0.000 0.441
O3 0.255 0.500 0.400
O4 0.292 0.000 0.938
O5 0.302 0.500 0.857
O6 0.307 0.208 0.142
O7 0.729 0.500 0.009
O8 0.750 0.000 0.068
O9 0.760 0.299 0.800
O10 0.790 0.000 0.565
O11 0.806 0.500 0.523
O12 0.807 0.292 0.319
```



No. 6
# MnFe3
Computed powder XRD pattern, CuKα. Input: DFT lattice parameters and positions (GGA-PBE).

Largest 6 diffraction maxima, in order of rising 2θ, 2θ from 15° to 90°:
2theta, intensity
42.2, 26
46.4, 26
48.5, 100
64.5, 13
77.2, 15
87.6, 16

Cell and atoms:
```
data_MnFe3
_chemical_formula_sum 'Mn1 Fe3'
_cell_length_a 2.4703
_cell_length_b 2.4703
_cell_length_c 7.8265
_cell_angle_alpha 90.00
_cell_angle_beta 90.00
_cell_angle_gamma 120.00
_space_group_name_H-M_alt 'P -6 m 2'
_space_group_IT_number 187
_space_group_name_Hall 'P -6 2'
loop_
_atom_site_label
_atom_site_fract_x
_atom_site_fract_y
_atom_site_fract_z
Mn1 0.0000 0.0000 0.0000
Fe1 0.0000 0.0000 0.5000
Fe2 0.6667 0.3333 0.2505
```